Diffraction record for Gd2USe5. The powder XRD pattern is calculated, not measured: it uses DFT lattice parameters and positions (GGA-PBE) and Cu Kα X-rays.

Crystal structure
```
data_Gd2USe5
_cell_length_a 12.3692
_cell_length_b 8.2749
_cell_length_c 7.7784
_cell_angle_alpha 90.00
_cell_angle_beta 90.00
_cell_angle_gamma 90.00
_space_group_name_H-M_alt 'P n m a'
_space_group_IT_number 62
loop_
_space_group_symop_operation_xyz
'x,y,z'
'-x,-y,-z'
'-x+1/2,-y,z+1/2'
'x+1/2,y,-z+1/2'
'x+1/2,-y+1/2,-z+1/2'
'-x+1/2,y+1/2,z+1/2'
'-x,y+1/2,-z'
'x,-y+1/2,z'
loop_
_atom_site_label
_atom_site_type_symbol
_atom_site_fract_x
_atom_site_fract_y
_atom_site_fract_z
Gd1 Gd 0.1796 0.0032 0.0187
U1 U 0.0081 0.7500 0.5744
Se1 Se 0.0009 0.2500 0.0409
Se2 Se 0.0997 0.0452 0.6636
Se3 Se 0.1831 0.7500 0.3237
Se4 Se 0.2166 0.2500 0.2991
```

Principal peaks in the range 10° ≤ 2θ ≤ 90°, in order of rising 2θ:
2θ/deg, intensity
22.9, 28
24.4, 58
25.4, 42
25.9, 46
34.8, 100
36.3, 57
43.8, 40
44.2, 48